No. 1
Theoretical PXRD pattern of La2Tb6SmEr for CuKα, from a crystal structure in Alexandria, relaxed with GGA-PBE.

a b c (Å): 9.0710 15.0382 9.9204
angles (deg): 90.00 100.16 90.00
Space group C2/c (No. 15)
One atom of each set of equivalent atoms:
La 0.2417 0.0484 0.0417
Tb 0.0721 0.1923 0.4430
Tb 0.0965 0.3949 0.6192
Tb 0.2009 0.2210 0.8111
Sm 0.0000 0.0126 0.7500
Er 0.0000 0.4050 0.2500

Peak list (8 most intense, 15° ≤ 2θ ≤ 90°, by angle)
d/Å  I/Imax  h k l
3.125  409  1 3 2
2.987  479  0 2 3
2.940  663  3 1 -1
2.849  1000  1 5 0
2.817  715  2 2 2
2.725  717  1 3 -3
2.693  234  2 2 -3
1.828  156  1 1 5

---

No. 2
Theoretical PXRD pattern of Li8Ag3Pd for CuKα, from a crystal structure in Alexandria, relaxed with GGA-PBE.

a b c (Å): 4.8274 6.7906 6.8185
angles (deg): 78.51 69.83 69.21
Space group P1 (No. 1)
One atom of each set of equivalent atoms:
Li 0.0000 0.0000 0.0000
Li 0.0010 0.3130 0.6638
Li 0.4008 0.2389 0.2182
Li 0.4052 0.5421 0.9160
Li 0.4377 0.9020 0.5561
Li 0.5192 0.7952 0.1446
Li 0.5411 0.4595 0.4576
Li 0.9186 0.7278 0.7316
Ag 0.0100 0.6422 0.3155
Ag 0.5097 0.1426 0.8156
Ag 0.9312 0.0587 0.4006
Pd 0.9076 0.4001 0.0586

Peak list (8 most intense, 15° ≤ 2θ ≤ 90°, by angle)
d/Å  I/Imax  h k l
4.306  1000  0 1 -1
4.282  346  1 1 1
4.199  529  1 0 1
3.158  522  1 0 -1
3.128  625  1 2 1
2.350  373  0 2 2
2.181  454  1 0 3
2.153  286  2 0 0

---

No. 3
Theoretical PXRD pattern of K3AlF6 for CuKα, from a crystal structure in Alexandria, relaxed with GGA-PBE.

a b c (Å): 13.5226 13.5226 8.7230
angles (deg): 90.00 90.00 90.00
Space group I4/m (No. 87)
One atom of each set of equivalent atoms:
K 0.0000 0.0000 0.0000
K 0.0000 0.5000 0.2500
K 0.0897 0.7352 0.5000
K 0.1037 0.2191 0.2292
Al 0.0000 0.0000 0.5000
Al 0.0930 0.6975 0.0000
F 0.0000 0.0000 0.2916
F 0.0334 0.3556 0.0000
F 0.0366 0.8196 0.0000
F 0.0626 0.1222 0.5000
F 0.0742 0.3545 0.5000
F 0.0944 0.6989 0.2119
F 0.2179 0.7540 0.0000

Peak list (8 most intense, 15° ≤ 2θ ≤ 90°, by angle)
d/Å  I/Imax  h k l
3.053  1000  3 1 2
3.024  702  2 4 0
2.485  549  2 4 2
2.181  481  0 0 4
2.138  613  6 2 0
1.768  193  2 4 4
1.751  224  5 5 2
1.527  275  6 2 4